Record 1
Calculated X-ray diffraction stick pattern of Tl2InCl3 for Cu Kα X-rays, from a DFT-relaxed cell (PBE, Alexandria).
No peak broadening, texture or thermal motion is included.

Top 10 peaks for 2θ = 10–90°, by angle:
| 2θ/deg | Rel. int. |
| --- | --- |
| 23.74 | 100 |
| 27.25 | 42 |
| 27.60 | 83 |
| 39.17 | 62 |
| 39.43 | 32 |
| 46.10 | 20 |
| 46.55 | 37 |
| 48.59 | 33 |
| 62.24 | 17 |
| 71.34 | 21 |

Cell and atoms:
Lattice parameters (Å, degrees): 19.390 6.546 6.463 90.00 90.00 90.00
Space group Cmc2_1 (No. 36)
Symmetry-distinct sites (fractional):
Tl (0.166, 0.250, 0.000) x8
In (0.000, 0.245, 0.501) x4
Cl (0.000, 0.313, 0.006) x4
Cl (0.166, 0.258, 0.499) x8


Record 2
Calculated X-ray diffraction stick pattern of TlInCl for Cu Kα X-rays, from a DFT-relaxed cell (PBE, Alexandria).
No peak broadening, texture or thermal motion is included.

Top 10 peaks for 2θ = 10–90°, by angle:
| 2θ/deg | Rel. int. |
| --- | --- |
| 11.89 | 24 |
| 23.92 | 20 |
| 28.25 | 70 |
| 33.03 | 100 |
| 36.22 | 17 |
| 37.38 | 13 |
| 46.58 | 17 |
| 51.41 | 15 |
| 53.17 | 25 |
| 56.85 | 11 |

Cell and atoms:
Lattice parameters (Å, degrees): 3.775 6.309 14.881 90.00 90.00 90.00
Space group Fmm2 (No. 42)
Symmetry-distinct sites (fractional):
Tl (0.000, 0.000, 0.000) x4
In (0.000, 0.000, 0.311) x4
Cl (0.000, 0.000, 0.670) x4


Record 3
Calculated X-ray diffraction stick pattern of Tl2InCl6 for Cu Kα X-rays, from a DFT-relaxed cell (PBE, Alexandria).
No peak broadening, texture or thermal motion is included.

Top 10 peaks for 2θ = 10–90°, by angle:
| 2θ/deg | Rel. int. |
| --- | --- |
| 14.51 | 62 |
| 17.17 | 61 |
| 18.75 | 35 |
| 19.68 | 32 |
| 23.60 | 74 |
| 25.10 | 100 |
| 25.23 | 26 |
| 28.59 | 42 |
| 34.73 | 40 |
| 38.68 | 26 |

Cell and atoms:
Lattice parameters (Å, degrees): 7.084 7.562 12.071 90.00 121.07 90.00
Space group P2_1/c (No. 14)
Symmetry-distinct sites (fractional):
Tl (0.186, 0.094, 0.224) x4
In (0.500, 0.000, 0.000) x2
Cl (0.161, 0.182, 0.951) x4
Cl (0.261, 0.722, 0.918) x4
Cl (0.426, 0.066, 0.772) x4